Record 1
This entry pairs a crystal structure of La8Tl with its calculated X-ray diffraction stick pattern. Radiation: λ = 1.5418 Å (Cu Kα). Structure: DFT lattice parameters and positions (PBE).
Neutral-atom scattering factors, no anomalous dispersion.

Structural model:
```
data_La8Tl
_chemical_formula_sum 'La8 Tl1'
_space_group_name_H-M_alt 'P -1'
_space_group_IT_number 2
_cell_length_a 6.2759
_cell_length_b 6.2887
_cell_length_c 9.0781
_cell_angle_alpha 89.73
_cell_angle_beta 89.53
_cell_angle_gamma 60.17
loop_
_space_group_symop_operation_xyz
'x,y,z'
'-x,-y,-z'
loop_
_atom_site_label
_atom_site_type_symbol
_atom_site_fract_x
_atom_site_fract_y
_atom_site_fract_z
La1 La 0.0021 0.3258 0.1748
La2 La 0.3119 0.9974 0.8268
La3 La 0.3239 0.6796 0.1750
La4 La 0.3281 0.3383 0.5003
Tl1 Tl 0.0000 0.0000 0.5000
```

Most intense lines, 2θ from 10° to 80°, most intense first:
(-1 1 1), 2θ = 30.06°, I 100.0
(1 -1 2), 2θ = 34.62°, I 69.4
(0 0 3), 2θ = 29.52°, I 52.6
(1 2 -1), 2θ = 30.12°, I 50.4
(2 1 -2), 2θ = 34.89°, I 33.7
(1 2 -4), 2θ = 49.62°, I 24.6
(3 0 0), 2θ = 50.32°, I 23.2
(2 -2 1), 2θ = 59.59°, I 20.9
(0 3 3), 2θ = 59.23°, I 20.9
(1 -1 5), 2θ = 58.59°, I 14.9
(2 1 4), 2θ = 49.37°, I 12.2
(0 3 0), 2θ = 50.17°, I 12.1



Record 2
This entry pairs a crystal structure of La3Tl with its calculated X-ray diffraction stick pattern. Radiation: λ = 1.5418 Å (Cu Kα). Structure: DFT lattice parameters and positions (PBE).
Neutral-atom scattering factors, no anomalous dispersion.

Structural model:
```
data_La3Tl
_chemical_formula_sum 'La3 Tl1'
_space_group_name_H-M_alt 'P m m m'
_space_group_IT_number 47
_cell_length_a 3.7697
_cell_length_b 4.7514
_cell_length_c 7.3679
_cell_angle_alpha 90.00
_cell_angle_beta 90.00
_cell_angle_gamma 90.00
loop_
_space_group_symop_operation_xyz
'x,y,z'
'-x,-y,-z'
'-x,-y,z'
'x,y,-z'
'x,-y,-z'
'-x,y,z'
'-x,y,-z'
'x,-y,z'
loop_
_atom_site_label
_atom_site_type_symbol
_atom_site_fract_x
_atom_site_fract_y
_atom_site_fract_z
La1 La 0.0000 0.0000 0.0000
La2 La 0.5000 0.5000 0.2717
Tl1 Tl 0.0000 0.0000 0.5000
```

Most intense lines, 2θ from 10° to 80°, most intense first:
(1 1 0), 2θ = 30.26°, I 100.0
(0 1 2), 2θ = 30.71°, I 93.1
(1 0 2), 2θ = 34.03°, I 71.0
(1 2 2), 2θ = 51.82°, I 43.3
(2 1 2), 2θ = 58.32°, I 30.4
(0 2 0), 2θ = 37.87°, I 27.4
(1 1 4), 2θ = 59.11°, I 26.3
(0 3 2), 2θ = 63.97°, I 21.8
(2 0 0), 2θ = 48.28°, I 14.1
(2 2 0), 2θ = 62.95°, I 12.4
(1 3 0), 2θ = 63.74°, I 12.0
(0 0 4), 2θ = 49.48°, I 11.2